Computed XRD peak list of TbDyHo4Sc2 for CuKα, from a PBE-relaxed structure.
Peak positions follow from Bragg's law for the DFT cell and can differ from measured ones.

Peak list (6 most intense, 10° ≤ 2θ ≤ 90°, in order of rising 2θ)
2θ = 30.6°, intensity 79; 2θ = 32.0°, intensity 40; 2θ = 33.7°, intensity 100; 2θ = 38.3°, intensity 42; 2θ = 52.5°, intensity 30; 2θ = 62.8°, intensity 34

Cell and atoms:
Cell lengths 6.9765, 6.9767, 11.1944 Å; angles 89.99, 90.00, 60.03 degrees
Fractional positions:
Tb: 0.0000 0.0000 0.0000
Tb: 0.0000 0.5000 0.0000
Dy: 0.0000 0.0000 0.5000
Dy: 0.5000 0.0000 0.0000
Ho: 0.1682 0.1678 0.7448
Ho: 0.1692 0.6646 0.7469
Ho: 0.3333 0.3337 0.2566
Ho: 0.3350 0.8312 0.2531
Ho: 0.6650 0.1688 0.7469
Ho: 0.6667 0.6663 0.7434
Ho: 0.8308 0.3354 0.2531
Ho: 0.8318 0.8322 0.2552
Sc: 0.0000 0.5000 0.5000
Sc: 0.5000 0.0000 0.5000
Sc: 0.5000 0.5000 0.0000
Sc: 0.5000 0.5000 0.5000

---

Computed XRD peak list of Tb6Dy3HoSc2 for CuKα, from a PBE-relaxed structure.
Peak positions follow from Bragg's law for the DFT cell and can differ from measured ones.

Peak list (6 most intense, 10° ≤ 2θ ≤ 90°, in order of rising 2θ)
2θ = 31.2°, intensity 100; 2θ = 31.4°, intensity 32; 2θ = 36.3°, intensity 67; 2θ = 52.1°, intensity 24; 2θ = 52.4°, intensity 23; 2θ = 62.1°, intensity 28

Cell and atoms:
Cell lengths 6.0770, 6.0770, 11.5676 Å; angles 95.01, 95.01, 119.95 degrees
Fractional positions:
Tb: 0.0821 0.4179 0.7555
Tb: 0.2462 0.2462 0.2444
Tb: 0.4179 0.0821 0.7555
Tb: 0.5821 0.9179 0.2445
Tb: 0.7538 0.7538 0.7556
Tb: 0.9179 0.5821 0.2445
Dy: 0.0000 0.0000 0.5000
Dy: 0.3332 0.6668 0.5000
Dy: 0.6668 0.3332 0.5000
Ho: 0.5000 0.5000 0.0000
Sc: 0.1667 0.8333 0.0000
Sc: 0.8333 0.1667 0.0000

---

Computed XRD peak list of DyHo5ThSc2 for CuKα, from a PBE-relaxed structure.
Peak positions follow from Bragg's law for the DFT cell and can differ from measured ones.

Peak list (6 most intense, 10° ≤ 2θ ≤ 90°, in order of rising 2θ)
2θ = 27.0°, intensity 25; 2θ = 32.0°, intensity 56; 2θ = 32.7°, intensity 100; 2θ = 33.1°, intensity 64; 2θ = 35.1°, intensity 35; 2θ = 57.6°, intensity 27

Cell and atoms:
Cell lengths 10.9397, 10.9397, 9.3738 Å; angles 90.00, 90.00, 150.42 degrees
Fractional positions:
Dy: 0.0968 0.9032 0.5000
Dy: 0.9032 0.0968 0.0000
Ho: 0.0308 0.9692 0.8255
Ho: 0.1104 0.8896 0.1222
Ho: 0.1947 0.8053 0.7946
Ho: 0.2346 0.7654 0.4139
Ho: 0.4906 0.5094 0.0939
Ho: 0.5094 0.4906 0.5939
Ho: 0.7654 0.2346 0.9139
Ho: 0.8053 0.1947 0.2946
Ho: 0.8896 0.1104 0.6222
Ho: 0.9692 0.0308 0.3255
Th: 0.3150 0.6850 0.1024
Th: 0.6850 0.3150 0.6024
Sc: 0.3645 0.6355 0.7856
Sc: 0.3872 0.6128 0.4011
Sc: 0.6128 0.3872 0.9011
Sc: 0.6355 0.3645 0.2856

---

Computed XRD peak list of Dy5HoThSc2 for CuKα, from a PBE-relaxed structure.
Peak positions follow from Bragg's law for the DFT cell and can differ from measured ones.

Peak list (6 most intense, 10° ≤ 2θ ≤ 90°, in order of rising 2θ)
2θ = 26.9°, intensity 24; 2θ = 32.0°, intensity 56; 2θ = 32.6°, intensity 100; 2θ = 33.1°, intensity 63; 2θ = 35.0°, intensity 35; 2θ = 57.4°, intensity 27

Cell and atoms:
Cell lengths 10.9836, 10.9836, 9.3888 Å; angles 90.00, 90.00, 150.48 degrees
Fractional positions:
Dy: 0.0096 0.9904 0.5000
Dy: 0.2659 0.7341 0.8193
Dy: 0.3049 0.6951 0.2010
Dy: 0.3899 0.6101 0.5299
Dy: 0.4690 0.5310 0.2328
Dy: 0.5310 0.4690 0.7328
Dy: 0.6101 0.3899 0.0299
Dy: 0.6951 0.3049 0.7010
Dy: 0.7341 0.2659 0.3193
Dy: 0.9904 0.0096 0.0000
Ho: 0.4031 0.5969 0.9075
Ho: 0.5969 0.4031 0.4075
Th: 0.1844 0.8156 0.5092
Th: 0.8156 0.1844 0.0092
Sc: 0.1131 0.8869 0.8089
Sc: 0.1346 0.8654 0.1935
Sc: 0.8654 0.1346 0.6935
Sc: 0.8869 0.1131 0.3089

---

Computed XRD peak list of DyHo2Tm2Sc for CuKα, from a PBE-relaxed structure.
Peak positions follow from Bragg's law for the DFT cell and can differ from measured ones.

Peak list (6 most intense, 10° ≤ 2θ ≤ 90°, in order of rising 2θ)
2θ = 32.3°, intensity 79; 2θ = 32.7°, intensity 100; 2θ = 42.3°, intensity 28; 2θ = 46.6°, intensity 29; 2θ = 58.1°, intensity 30; 2θ = 64.2°, intensity 29

Cell and atoms:
Cell lengths 6.8448, 9.4738, 5.4726 Å; angles 90.00, 90.00, 90.00 degrees
Fractional positions:
Dy: 0.0000 0.0000 0.0000
Dy: 0.5000 0.5000 0.5000
Ho: 0.2470 0.3332 0.0000
Ho: 0.2530 0.8332 0.5000
Ho: 0.7470 0.1668 0.5000
Ho: 0.7530 0.6668 0.0000
Tm: 0.2485 0.6664 0.0000
Tm: 0.2515 0.1664 0.5000
Tm: 0.7485 0.8336 0.5000
Tm: 0.7515 0.3336 0.0000
Sc: 0.0000 0.5000 0.5000
Sc: 0.5000 0.0000 0.0000

---

Computed XRD peak list of Dy2HoTmSc2 for CuKα, from a PBE-relaxed structure.
Peak positions follow from Bragg's law for the DFT cell and can differ from measured ones.

Peak list (6 most intense, 10° ≤ 2θ ≤ 90°, in order of rising 2θ)
2θ = 23.0°, intensity 32; 2θ = 32.4°, intensity 100; 2θ = 33.1°, intensity 30; 2θ = 33.2°, intensity 60; 2θ = 58.8°, intensity 24; 2θ = 64.5°, intensity 26

Cell and atoms:
Cell lengths 6.8369, 9.3361, 5.4129 Å; angles 90.00, 90.00, 90.00 degrees
Fractional positions:
Dy: 0.2493 0.1665 0.0000
Dy: 0.2507 0.6665 0.5000
Dy: 0.7493 0.3335 0.5000
Dy: 0.7507 0.8335 0.0000
Ho: 0.0000 0.5000 0.0000
Ho: 0.5000 0.0000 0.5000
Tm: 0.0000 0.0000 0.5000
Tm: 0.5000 0.5000 0.0000
Sc: 0.2502 0.3331 0.5000
Sc: 0.2498 0.8331 0.0000
Sc: 0.7502 0.1669 0.0000
Sc: 0.7498 0.6669 0.5000